For SnMo2O6, a crystal structure in Alexandria, relaxed with GGA+U gives the theoretical powder diffractogram in this record (λ = 1.5418 Å (Cu Kα)).

Largest 10 diffraction maxima, low angle first, 2θ = 5–70°:
d/Å	Position (°2θ)	I (rel.)	index
4.595	19.32	53	0 0 1
3.989	22.29	49	1 0 1
3.265	27.31	93	1 1 1
3.025	29.53	32	0 2 1
2.680	33.44	100	3 0 0
2.534	35.42	33	2 1 1
2.315	38.91	54	0 3 1
2.071	43.70	25	2 2 1
1.744	52.46	99	0 3 2
1.547	59.77	40	3 3 0

Structure:
```
data_SnMo2O6
_space_group_name_H-M_alt 'P -3 m 1'
_space_group_IT_number 164
_space_group_name_Hall '-P 3 2"'
_cell_length_a 9.2828
_cell_length_b 9.2828
_cell_length_c 4.5948
_cell_angle_alpha 90.00
_cell_angle_beta 90.00
_cell_angle_gamma 120.00
loop_
_atom_site_label
_atom_site_type_symbol
_atom_site_fract_x
_atom_site_fract_y
_atom_site_fract_z
Sn1 Sn 0.0000 0.0000 0.0000
Sn2 Sn 0.3333 0.6667 0.5099
Mo1 Mo 0.0000 0.3419 0.0000
O1 O 0.1073 0.5536 0.2557
O2 O 0.1158 0.2316 0.2133
O3 O 0.2224 0.4449 0.7587
```